No. 1
For Na8Al6Si6IClO24, a structure optimized by DFT (GGA-PBE) gives the computed X-ray diffraction stick pattern in this record (copper Kα).
No peak broadening, texture or thermal motion is included.

Structural model:
```
Na8Al6Si6IClO24
1.0
9.051 0.000 0.000
0.000 9.051 0.000
0.000 0.000 9.051
Na Al Si I Cl O
8 6 6 1 1 24
Direct
0.185 0.185 0.185
0.185 0.815 0.815
0.307 0.307 0.693
0.307 0.693 0.307
0.693 0.307 0.307
0.693 0.693 0.693
0.815 0.185 0.815
0.815 0.815 0.185
0.000 0.250 0.500
0.000 0.750 0.500
0.250 0.500 0.000
0.500 0.000 0.250
0.500 0.000 0.750
0.750 0.500 0.000
0.000 0.500 0.250
0.000 0.500 0.750
0.250 0.000 0.500
0.500 0.250 0.000
0.500 0.750 0.000
0.750 0.000 0.500
0.500 0.500 0.500
0.000 0.000 0.000
0.056 0.359 0.651
0.056 0.641 0.349
0.141 0.444 0.150
0.141 0.556 0.850
0.150 0.141 0.444
0.150 0.859 0.556
0.349 0.056 0.641
0.349 0.944 0.359
0.359 0.349 0.944
0.359 0.651 0.056
0.444 0.150 0.141
0.444 0.850 0.859
0.556 0.150 0.859
0.556 0.850 0.141
0.641 0.349 0.056
0.641 0.651 0.944
0.651 0.056 0.359
0.651 0.944 0.641
0.850 0.141 0.556
0.850 0.859 0.444
0.859 0.444 0.850
0.859 0.556 0.150
0.944 0.359 0.349
0.944 0.641 0.651
```

Most intense lines, 2θ from 15° to 90°, by angle:
d [Å]  I_rel  index
4.526  93  2 0 0
4.048  78  2 1 0
3.695  1000  2 1 1
2.613  81  2 2 2
2.419  285  3 2 1
2.133  329  3 3 0
1.600  94  4 4 0
1.509  113  6 0 0
1.468  164  5 3 2
1.232  132  6 3 3

No. 2
For AlInCl4, a structure optimized by DFT (GGA-PBE) gives the computed X-ray diffraction stick pattern in this record (copper Kα).
No peak broadening, texture or thermal motion is included.

Structural model:
```
AlInCl4
1.0
11.020 0.000 0.000
0.000 7.149 0.000
0.000 0.000 9.437
Al In Cl
4 4 16
Direct
0.067 0.250 0.189
0.433 0.750 0.689
0.567 0.250 0.311
0.933 0.750 0.811
0.186 0.250 0.687
0.314 0.750 0.187
0.686 0.250 0.813
0.814 0.750 0.313
0.075 0.005 0.323
0.075 0.495 0.323
0.100 0.750 0.929
0.223 0.250 0.051
0.277 0.750 0.551
0.400 0.250 0.429
0.425 0.505 0.823
0.425 0.995 0.823
0.575 0.005 0.177
0.575 0.495 0.177
0.600 0.750 0.571
0.723 0.250 0.449
0.777 0.750 0.949
0.900 0.250 0.071
0.925 0.505 0.677
0.925 0.995 0.677
```

Most intense lines, 2θ from 15° to 90°, by angle:
d [Å]  I_rel  index
4.364  584  2 1 0
3.961  1000  2 1 1
3.708  658  1 1 2
3.574  538  0 2 0
3.203  814  2 1 2
2.999  539  2 2 0
2.858  860  2 2 1
2.786  598  1 1 3
2.758  700  1 2 2
2.645  726  4 0 1

No. 3
For KAlCl4, a structure optimized by DFT (GGA-PBE) gives the computed X-ray diffraction stick pattern in this record (copper Kα).
No peak broadening, texture or thermal motion is included.

Structural model:
```
KAlCl4
1.0
7.344 0.000 0.000
0.000 10.682 0.000
-0.560 0.000 9.527
K Al Cl
4 4 16
Direct
0.058 0.000 0.054
0.437 0.610 0.450
0.563 0.110 0.550
0.942 0.500 0.946
0.006 0.356 0.434
0.491 0.251 0.067
0.509 0.751 0.933
0.994 0.856 0.566
0.029 0.516 0.298
0.053 0.686 0.681
0.211 0.884 0.425
0.234 0.266 0.944
0.265 0.342 0.555
0.288 0.726 0.071
0.456 0.919 0.813
0.468 0.089 0.199
0.532 0.589 0.801
0.544 0.419 0.187
0.712 0.226 0.929
0.735 0.842 0.445
0.766 0.766 0.056
0.789 0.384 0.575
0.947 0.186 0.319
0.971 0.016 0.702
```

Most intense lines, 2θ from 15° to 90°, by angle:
d [Å]  I_rel  index
3.984  741  1 2 -1
3.833  734  1 1 -2
3.661  578  2 0 0
3.202  1000  2 1 1
3.145  511  1 2 2
3.021  820  2 2 0
2.922  852  2 2 -1
2.852  793  0 3 2
2.732  825  2 1 2
2.571  871  0 4 1